Theoretical PXRD pattern
Compound: Ho2Cu5Ag5
Radiation: Cu Ka
Structure: DFT lattice parameters and positions (GGA-PBE)
Kinematic intensities with the Lorentz-polarization factor, no thermal factor.

Most intense lines, 15° ≤ 2θ ≤ 90°, in order of rising 2θ:
- d = 2.556 Å, rel. 20
- d = 2.450 Å, rel. 28
- d = 2.358 Å, rel. 21
- d = 2.331 Å, rel. 100
- d = 2.257 Å, rel. 33
- d = 2.250 Å, rel. 31
- d = 2.205 Å, rel. 27
- d = 2.196 Å, rel. 23
- d = 2.138 Å, rel. 20
- d = 2.127 Å, rel. 20

Cell and atoms:
```
data_Ho2Cu5Ag5
_cell_length_a 8.794
_cell_length_b 5.501
_cell_length_c 9.780
_cell_angle_alpha 90.00
_cell_angle_beta 116.07
_cell_angle_gamma 90.00
_space_group_name_H-M_alt 'C 1 m 1'
_space_group_IT_number 8
_space_group_name_Hall 'C -2y'
loop_
_atom_site_label
_atom_site_type_symbol
_atom_site_fract_x
_atom_site_fract_y
_atom_site_fract_z
_atom_site_occupancy
Ho1 Ho 0.000 0.000 0.000 1
Ho2 Ho 0.106 0.000 0.518 1
Cu1 Cu 0.041 0.500 0.126 1
Cu2 Cu 0.152 0.500 0.941 1
Cu3 Cu 0.193 0.500 0.702 1
Cu4 Cu 0.280 0.000 0.873 1
Cu5 Cu 0.414 0.000 0.456 1
Ag1 Ag 0.215 0.500 0.419 1
Ag2 Ag 0.340 0.252 0.205 1
Ag3 Ag 0.446 0.252 0.705 1
```

=====

Theoretical PXRD pattern
Compound: Ho4Cu2Ag
Radiation: Cu Ka
Structure: DFT lattice parameters and positions (GGA-PBE)
Kinematic intensities with the Lorentz-polarization factor, no thermal factor.

Most intense lines, 15° ≤ 2θ ≤ 90°, in order of rising 2θ:
- d = 2.980 Å, rel. 73
- d = 2.932 Å, rel. 53
- d = 2.766 Å, rel. 100
- d = 2.713 Å, rel. 96
- d = 2.651 Å, rel. 57
- d = 2.606 Å, rel. 50
- d = 2.562 Å, rel. 49
- d = 2.493 Å, rel. 60
- d = 2.483 Å, rel. 66
- d = 2.313 Å, rel. 48

Cell and atoms:
```
data_Ho4Cu2Ag
_cell_length_a 6.968
_cell_length_b 7.218
_cell_length_c 7.794
_cell_angle_alpha 105.81
_cell_angle_beta 106.33
_cell_angle_gamma 106.18
_space_group_name_H-M_alt 'P 1'
_space_group_IT_number 1
_space_group_name_Hall 'P 1'
loop_
_atom_site_label
_atom_site_type_symbol
_atom_site_fract_x
_atom_site_fract_y
_atom_site_fract_z
_atom_site_occupancy
Ho1 Ho 0.000 0.000 0.000 1
Ho2 Ho 0.004 0.577 0.173 1
Ho3 Ho 0.281 0.357 0.854 1
Ho4 Ho 0.348 0.096 0.446 1
Ho5 Ho 0.444 0.700 0.654 1
Ho6 Ho 0.596 0.134 0.117 1
Ho7 Ho 0.818 0.944 0.455 1
Ho8 Ho 0.882 0.519 0.616 1
Cu1 Cu 0.073 0.309 0.392 1
Cu2 Cu 0.196 0.927 0.717 1
Cu3 Cu 0.276 0.759 0.999 1
Cu4 Cu 0.657 0.720 0.049 1
Ag1 Ag 0.460 0.487 0.278 1
Ag2 Ag 0.728 0.211 0.796 1
```

=====

What is the formula in the second record? Ho4Cu2Ag

=====

Repeat the first record exactly.
Theoretical PXRD pattern
Compound: Ho2Cu5Ag5
Radiation: Cu Ka
Structure: DFT lattice parameters and positions (GGA-PBE)
Kinematic intensities with the Lorentz-polarization factor, no thermal factor.

Most intense lines, 15° ≤ 2θ ≤ 90°, in order of rising 2θ:
- d = 2.556 Å, rel. 20
- d = 2.450 Å, rel. 28
- d = 2.358 Å, rel. 21
- d = 2.331 Å, rel. 100
- d = 2.257 Å, rel. 33
- d = 2.250 Å, rel. 31
- d = 2.205 Å, rel. 27
- d = 2.196 Å, rel. 23
- d = 2.138 Å, rel. 20
- d = 2.127 Å, rel. 20

Cell and atoms:
```
data_Ho2Cu5Ag5
_cell_length_a 8.794
_cell_length_b 5.501
_cell_length_c 9.780
_cell_angle_alpha 90.00
_cell_angle_beta 116.07
_cell_angle_gamma 90.00
_space_group_name_H-M_alt 'C 1 m 1'
_space_group_IT_number 8
_space_group_name_Hall 'C -2y'
loop_
_atom_site_label
_atom_site_type_symbol
_atom_site_fract_x
_atom_site_fract_y
_atom_site_fract_z
_atom_site_occupancy
Ho1 Ho 0.000 0.000 0.000 1
Ho2 Ho 0.106 0.000 0.518 1
Cu1 Cu 0.041 0.500 0.126 1
Cu2 Cu 0.152 0.500 0.941 1
Cu3 Cu 0.193 0.500 0.702 1
Cu4 Cu 0.280 0.000 0.873 1
Cu5 Cu 0.414 0.000 0.456 1
Ag1 Ag 0.215 0.500 0.419 1
Ag2 Ag 0.340 0.252 0.205 1
Ag3 Ag 0.446 0.252 0.705 1
```

=====

Number 1 is which compound? Ho2Cu5Ag5